CrP5O15: simulated X-ray powder pattern (copper Kα), based on a structure optimized by DFT (PBE+U).

Cell and atoms:
Cell lengths 5.0327, 10.4526, 13.0516 Å; angles 90.00, 110.86, 90.00 degrees
Space group Pc (No. 7)
Symmetry-distinct sites (fractional):
Cr  0.0000  0.0018  0.0000 x2
P  0.4189  0.4421  0.3514 x2
P  0.4301  0.1646  0.4179 x2
P  0.5704  0.1667  0.0834 x2
P  0.5923  0.4430  0.1549 x2
P  0.9991  0.0117  0.2500 x2
O  0.0408  0.0572  0.6558 x2
O  0.1223  0.4792  0.8113 x2
O  0.2565  0.1543  0.0587 x2
O  0.2632  0.1088  0.2976 x2
O  0.3166  0.1129  0.5015 x2
O  0.3402  0.3121  0.3976 x2
O  0.3765  0.4730  0.5811 x2
O  0.5062  0.3858  0.2532 x2
O  0.6355  0.4752  0.9263 x2
O  0.6670  0.3131  0.1073 x2
O  0.6844  0.1166  0.9994 x2
O  0.7310  0.1066  0.2027 x2
O  0.7429  0.1502  0.4411 x2
O  0.8909  0.4797  0.6949 x2
O  0.9602  0.0592  0.8438 x2

Peak list (6 most intense, 2θ from 10° to 80°, sorted by position)
7.937 Å, 2θ = 11.1°, I 100, (0 1 1); 5.267 Å, 2θ = 16.8°, I 28, (0 1 2); 5.226 Å, 2θ = 17.0°, I 64, (0 2 0); 4.289 Å, 2θ = 20.7°, I 53, (1 1 0); 3.688 Å, 2θ = 24.1°, I 29, (1 1 1); 3.114 Å, 2θ = 28.7°, I 26, (1 0 -4)